Record 1
The following is a computed powder X-ray diffraction pattern of MnMoAs2. It was derived from a cell relaxed with PBE, using copper Kα.
Peak positions follow from Bragg's law for the DFT cell and can differ from measured ones.

Structural model:
abc: 3.397 5.884 6.412
angles: 90.00 90.00 90.00
Space group Pmn2_1 (No. 31)
Symmetry-distinct sites (fractional):
Mn (0.000, 0.249, 0.000) [2 per cell]
Mo (0.000, 0.744, 0.116) [2 per cell]
As (0.000, 0.047, 0.385) [2 per cell]
As (0.000, 0.559, 0.736) [2 per cell]

Principal peaks in the range 15° ≤ 2θ ≤ 90°, by angle:
31.78°, d = 2.815 Å, I = 394, (0 1 2)
33.52°, d = 2.674 Å, I = 823, (1 1 1)
41.67°, d = 2.168 Å, I = 1000, (0 2 2)
43.05°, d = 2.101 Å, I = 912, (1 2 1)
45.13°, d = 2.009 Å, I = 217, (0 1 3)
48.54°, d = 1.875 Å, I = 249, (0 3 1)
50.45°, d = 1.809 Å, I = 374, (1 0 3)
53.99°, d = 1.698 Å, I = 283, (2 0 0)
70.43°, d = 1.337 Å, I = 206, (2 2 2)
82.79°, d = 1.166 Å, I = 256, (1 3 4)

---

Record 2
The following is a computed powder X-ray diffraction pattern of Cs2YTlBr6. It was derived from a cell relaxed with PBE, using copper Kα.
Peak positions follow from Bragg's law for the DFT cell and can differ from measured ones.

Structural model:
abc: 12.044 12.044 12.044
angles: 90.00 90.00 90.00
Space group Fm-3m (No. 225)
Symmetry-distinct sites (fractional):
Cs (0.250, 0.250, 0.250) [8 per cell]
Y (0.000, 0.000, 0.000) [4 per cell]
Tl (0.000, 0.000, 0.500) [4 per cell]
Br (0.000, 0.000, 0.233) [24 per cell]

Principal peaks in the range 15° ≤ 2θ ≤ 90°, by angle:
20.86°, d = 4.258 Å, I = 693, (2 2 0)
25.62°, d = 3.477 Å, I = 382, (2 2 2)
29.67°, d = 3.011 Å, I = 1000, (4 0 0)
36.55°, d = 2.459 Å, I = 308, (4 2 2)
42.46°, d = 2.129 Å, I = 719, (4 4 0)
47.76°, d = 1.904 Å, I = 181, (6 2 0)
52.65°, d = 1.738 Å, I = 246, (4 4 4)
57.24°, d = 1.609 Å, I = 197, (6 4 2)
69.85°, d = 1.347 Å, I = 299, (8 4 0)
77.68°, d = 1.229 Å, I = 216, (8 4 4)